This entry pairs a crystal structure of Tb2EuIn with its computed X-ray diffraction stick pattern. Radiation: Cu Kα X-rays. Structure: a structure optimized by DFT (PBE).
Kinematic intensities with the Lorentz-polarization factor, no thermal factor.

Top 10 peaks for 2θ = 5–70°, in order of falling intensity:
(hkl), d_spacing, Rel. int.
1 0 2, 2.893, 100
1 1 0, 2.593, 42
2 1 2, 1.549, 30
2 0 0, 1.833, 15
1 1 4, 1.743, 15
0 0 4, 2.355, 9
2 0 4, 1.447, 8
1 0 5, 1.676, 7
1 1 3, 1.999, 7
1 0 1, 3.417, 6

Atomic structure:
```
data_Tb2EuIn
_space_group_name_H-M_alt 'P 4/m m m'
_space_group_IT_number 123
_space_group_name_Hall '-P 4 2'
_cell_length_a 3.666
_cell_length_b 3.666
_cell_length_c 9.420
_cell_angle_alpha 90.00
_cell_angle_beta 90.00
_cell_angle_gamma 90.00
loop_
_atom_site_label
_atom_site_fract_x
_atom_site_fract_y
_atom_site_fract_z
Tb1 0.000 0.000 0.211
Eu1 0.500 0.500 0.500
In1 0.500 0.500 0.000
```



This entry pairs a crystal structure of TbHg3I9 with its computed X-ray diffraction stick pattern. Radiation: Cu Kα X-rays. Structure: a structure optimized by DFT (PBE).
Kinematic intensities with the Lorentz-polarization factor, no thermal factor.

Top 10 peaks for 2θ = 5–70°, in order of falling intensity:
(hkl), d_spacing, Rel. int.
1 1 1, 6.082, 100
2 2 -3, 3.588, 83
3 1 -2, 5.495, 68
5 1 -2, 3.829, 57
7 1 -1, 2.504, 53
1 3 3, 2.417, 46
7 3 -3, 2.266, 46
4 2 0, 3.202, 41
2 0 2, 3.702, 30
1 1 -4, 3.073, 28

Atomic structure:
```
data_TbHg3I9
_space_group_name_H-M_alt 'C 1 c 1'
_space_group_IT_number 9
_cell_length_a 20.607
_cell_length_b 10.644
_cell_length_c 14.839
_cell_angle_alpha 90.00
_cell_angle_beta 128.96
_cell_angle_gamma 90.00
loop_
_space_group_symop_operation_xyz
'x,y,z'
'x,-y,z+1/2'
'x+1/2,y+1/2,z'
'x+1/2,-y+1/2,z+1/2'
loop_
_atom_site_label
_atom_site_fract_x
_atom_site_fract_y
_atom_site_fract_z
Tb1 0.000 0.232 0.000
Hg1 0.137 0.430 0.836
Hg2 0.268 0.068 0.779
Hg3 0.372 0.387 0.683
I1 0.000 0.302 0.797
I2 0.007 0.073 0.178
I3 0.102 0.466 0.125
I4 0.141 0.044 0.064
I5 0.201 0.352 0.477
I6 0.263 0.241 0.923
I7 0.353 0.421 0.299
I8 0.355 0.129 0.460
I9 0.408 0.150 0.796
```



This entry pairs a crystal structure of HfTlHg with its computed X-ray diffraction stick pattern. Radiation: Cu Kα X-rays. Structure: a structure optimized by DFT (PBE).
Kinematic intensities with the Lorentz-polarization factor, no thermal factor.

Top 10 peaks for 2θ = 5–70°, in order of falling intensity:
(hkl), d_spacing, Rel. int.
3 1 3, 2.560, 100
1 3 1, 3.028, 66
1 1 5, 2.686, 51
2 2 2, 3.091, 49
2 0 2, 3.977, 38
0 2 6, 2.181, 34
4 4 4, 1.546, 28
1 3 3, 2.612, 24
2 2 4, 2.493, 20
4 2 2, 2.050, 19

Atomic structure:
```
data_HfTlHg
_space_group_name_H-M_alt 'F d d d'
_space_group_IT_number 70
_cell_length_a 9.486
_cell_length_b 9.824
_cell_length_c 14.608
_cell_angle_alpha 90.00
_cell_angle_beta 90.00
_cell_angle_gamma 90.00
loop_
_space_group_symop_operation_xyz
'x,y,z'
'-x,-y,-z'
'-x+1/4,-y+1/4,z'
'x+1/4,y+1/4,-z'
'x,-y+1/4,-z+1/4'
'-x,y+1/4,z+1/4'
'-x+1/4,y,-z+1/4'
'x+1/4,-y,z+1/4'
'x,y+1/2,z+1/2'
'-x,-y+1/2,-z+1/2'
'-x+1/4,-y+3/4,z+1/2'
'x+1/4,y+3/4,-z+1/2'
'x,-y+3/4,-z+3/4'
'-x,y+3/4,z+3/4'
'-x+1/4,y+1/2,-z+3/4'
'x+1/4,-y+1/2,z+3/4'
'x+1/2,y,z+1/2'
'-x+1/2,-y,-z+1/2'
'-x+3/4,-y+1/4,z+1/2'
'x+3/4,y+1/4,-z+1/2'
'x+1/2,-y+1/4,-z+3/4'
'-x+1/2,y+1/4,z+3/4'
'-x+3/4,y,-z+3/4'
'x+3/4,-y,z+3/4'
'x+1/2,y+1/2,z'
'-x+1/2,-y+1/2,-z'
'-x+3/4,-y+3/4,z'
'x+3/4,y+3/4,-z'
'x+1/2,-y+3/4,-z+1/4'
'-x+1/2,y+3/4,z+1/4'
'-x+3/4,y+1/2,-z+1/4'
'x+3/4,-y+1/2,z+1/4'
loop_
_atom_site_label
_atom_site_fract_x
_atom_site_fract_y
_atom_site_fract_z
Hf1 0.035 0.375 0.375
Tl1 0.000 0.000 0.500
Hg1 0.125 0.125 0.293
```



This entry pairs a crystal structure of Th2SiSnPt6 with its computed X-ray diffraction stick pattern. Radiation: Cu Kα X-rays. Structure: a structure optimized by DFT (PBE).
Kinematic intensities with the Lorentz-polarization factor, no thermal factor.

Top 10 peaks for 2θ = 5–70°, in order of falling intensity:
(hkl), d_spacing, Rel. int.
2 2 0, 2.335, 100
0 2 2, 3.078, 91
2 0 2, 2.349, 74
1 2 3, 2.222, 66
0 4 0, 2.154, 57
2 4 2, 1.587, 49
0 0 1, 8.800, 41
1 2 2, 2.692, 30
1 0 3, 2.594, 28
1 2 1, 3.175, 26

Atomic structure:
```
data_Th2SiSnPt6
_space_group_name_H-M_alt 'P m m n'
_space_group_IT_number 59
_cell_length_a 5.556
_cell_length_b 8.615
_cell_length_c 8.800
_cell_angle_alpha 90.00
_cell_angle_beta 90.00
_cell_angle_gamma 90.00
loop_
_space_group_symop_operation_xyz
'x,y,z'
'-x,-y,-z'
'-x+1/2,-y+1/2,z'
'x+1/2,y+1/2,-z'
'x+1/2,-y,-z'
'-x+1/2,y,z'
'-x,y+1/2,-z'
'x,-y+1/2,z'
loop_
_atom_site_label
_atom_site_fract_x
_atom_site_fract_y
_atom_site_fract_z
Th1 0.250 0.011 0.246
Si1 0.250 0.750 0.738
Sn1 0.250 0.250 0.788
Pt1 0.002 0.250 0.498
Pt2 0.003 0.750 0.957
Pt3 0.250 0.501 0.611
```



This entry pairs a crystal structure of LiCa3Zr3TaO12 with its computed X-ray diffraction stick pattern. Radiation: Cu Kα X-rays. Structure: a structure optimized by DFT (PBE).
Kinematic intensities with the Lorentz-polarization factor, no thermal factor.

Top 10 peaks for 2θ = 5–70°, in order of falling intensity:
(hkl), d_spacing, Rel. int.
1 1 4, 2.832, 100
1 1 0, 4.007, 94
2 2 0, 2.005, 29
0 2 0, 2.898, 26
3 1 -4, 1.614, 25
2 0 0, 2.779, 22
1 3 -4, 1.660, 20
2 2 -4, 1.793, 16
0 0 8, 1.999, 15
1 1 8, 1.789, 14

Atomic structure:
```
data_LiCa3Zr3TaO12
_space_group_name_H-M_alt 'P 1 21 1'
_space_group_IT_number 4
_cell_length_a 5.557
_cell_length_b 5.795
_cell_length_c 15.994
_cell_angle_alpha 90.00
_cell_angle_beta 90.13
_cell_angle_gamma 90.00
loop_
_space_group_symop_operation_xyz
'x,y,z'
'-x,y+1/2,-z'
loop_
_atom_site_label
_atom_site_fract_x
_atom_site_fract_y
_atom_site_fract_z
Li1 0.211 0.000 0.000
Ca1 0.233 0.069 0.241
Ca2 0.235 0.069 0.758
Ca3 0.266 0.174 0.500
Zr1 0.247 0.621 0.373
Zr2 0.250 0.621 0.627
Zr3 0.264 0.603 0.881
Ta1 0.257 0.611 0.120
O1 0.039 0.339 0.847
O2 0.047 0.355 0.151
O3 0.058 0.316 0.343
O4 0.060 0.316 0.656
O5 0.139 0.636 0.004
O6 0.141 0.579 0.500
O7 0.350 0.661 0.243
O8 0.356 0.665 0.754
O9 0.421 0.931 0.102
O10 0.445 0.920 0.402
O11 0.447 0.921 0.597
O12 0.448 0.946 0.900
```



This entry pairs a crystal structure of CuSe2Br6 with its computed X-ray diffraction stick pattern. Radiation: Cu Kα X-rays. Structure: a structure optimized by DFT (PBE).
Kinematic intensities with the Lorentz-polarization factor, no thermal factor.

Top 10 peaks for 2θ = 5–70°, in order of falling intensity:
(hkl), d_spacing, Rel. int.
1 1 -1, 6.124, 100
1 5 0, 3.044, 71
4 0 0, 3.655, 69
3 1 -1, 4.183, 68
2 0 0, 7.309, 56
0 2 0, 7.780, 54
1 3 0, 4.888, 53
3 1 2, 2.562, 35
4 0 -2, 2.747, 31
2 2 2, 2.727, 28

Atomic structure:
```
data_CuSe2Br6
_space_group_name_H-M_alt 'C 1 2/c 1'
_space_group_IT_number 15
_cell_length_a 14.845
_cell_length_b 15.560
_cell_length_c 6.953
_cell_angle_alpha 90.00
_cell_angle_beta 100.01
_cell_angle_gamma 90.00
loop_
_space_group_symop_operation_xyz
'x,y,z'
'-x,-y,-z'
'-x,y,-z+1/2'
'x,-y,z+1/2'
'x+1/2,y+1/2,z'
'-x+1/2,-y+1/2,-z'
'-x+1/2,y+1/2,-z+1/2'
'x+1/2,-y+1/2,z+1/2'
loop_
_atom_site_label
_atom_site_fract_x
_atom_site_fract_y
_atom_site_fract_z
Cu1 0.000 0.001 0.250
Se1 0.082 0.367 0.388
Br1 0.105 0.220 0.452
Br2 0.115 0.001 0.043
Br3 0.136 0.432 0.704
```



This entry pairs a crystal structure of Sm2UP3 with its computed X-ray diffraction stick pattern. Radiation: Cu Kα X-rays. Structure: a structure optimized by DFT (PBE).
Kinematic intensities with the Lorentz-polarization factor, no thermal factor.

Top 10 peaks for 2θ = 5–70°, in order of falling intensity:
(hkl), d_spacing, Rel. int.
1 0 3, 3.303, 100
2 0 0, 2.023, 79
1 1 0, 2.864, 72
0 0 6, 2.855, 35
2 1 3, 1.726, 33
2 0 6, 1.652, 28
1 0 9, 1.722, 17
2 2 0, 1.432, 9
0 0 2, 8.564, 6
1 0 1, 3.941, 5

Atomic structure:
```
data_Sm2UP3
_space_group_name_H-M_alt 'I 4/m m m'
_space_group_IT_number 139
_space_group_name_Hall '-I 4 2'
_cell_length_a 4.050
_cell_length_b 4.050
_cell_length_c 17.127
_cell_angle_alpha 90.00
_cell_angle_beta 90.00
_cell_angle_gamma 90.00
loop_
_atom_site_label
_atom_site_fract_x
_atom_site_fract_y
_atom_site_fract_z
Sm1 0.000 0.000 0.168
U1 0.000 0.000 0.500
P1 0.000 0.000 0.000
P2 0.000 0.000 0.338
```



This entry pairs a crystal structure of TbCe5Ge4 with its computed X-ray diffraction stick pattern. Radiation: Cu Kα X-rays. Structure: a structure optimized by DFT (PBE).
Kinematic intensities with the Lorentz-polarization factor, no thermal factor.

Top 10 peaks for 2θ = 5–70°, in order of falling intensity:
(hkl), d_spacing, Rel. int.
3 1 -2, 2.780, 100
0 2 0, 2.290, 76
3 1 0, 3.482, 39
7 1 -1, 2.128, 24
6 0 0, 2.679, 24
4 0 1, 3.134, 23
0 0 2, 3.590, 23
6 2 0, 1.741, 13
0 0 4, 1.795, 13
3 3 -2, 1.400, 12

Atomic structure:
```
data_TbCe5Ge4
_space_group_name_H-M_alt 'C 1 2/m 1'
_space_group_IT_number 12
_cell_length_a 16.822
_cell_length_b 4.582
_cell_length_c 7.514
_cell_angle_alpha 90.00
_cell_angle_beta 107.16
_cell_angle_gamma 90.00
loop_
_space_group_symop_operation_xyz
'x,y,z'
'-x,-y,-z'
'-x,y,-z'
'x,-y,z'
'x+1/2,y+1/2,z'
'-x+1/2,-y+1/2,-z'
'-x+1/2,y+1/2,-z'
'x+1/2,-y+1/2,z'
loop_
_atom_site_label
_atom_site_fract_x
_atom_site_fract_y
_atom_site_fract_z
Tb1 0.000 0.000 0.000
Ce1 0.000 0.000 0.500
Ce2 0.147 0.500 0.471
Ce3 0.198 0.500 0.010
Ge1 0.031 0.500 0.764
Ge2 0.180 0.000 0.248
```